Starting from a PBE-relaxed structure, the XRD peak list of NaHoInGa was computed for Cu Kα, 1.54184 Å.

Structure:
Lattice parameters (Å, degrees): 5.144 5.144 5.144 60.00 60.00 60.00
Sites, in units of the cell vectors:
Na  0.000  0.000  0.000
Ho  0.500  0.500  0.500
In  0.750  0.750  0.750
Ga  0.250  0.250  0.250

Principal peaks in the range 2θ from 10° to 90°, in order of falling intensity:
| 2theta | I/Imax |
| --- | --- |
| 34.88 | 100 |
| 62.55 | 36 |
| 21.15 | 34 |
| 41.15 | 19 |
| 50.16 | 18 |
| 84.17 | 15 |

=====

Starting from a PBE-relaxed structure, the XRD peak list of Th2P4Ru5 was computed for Cu Kα, 1.54184 Å.

Structure:
Lattice parameters (Å, degrees): 8.421 7.413 5.615 79.23 59.85 40.92
Sites, in units of the cell vectors:
Th  0.133  0.133  0.867
Th  0.867  0.867  0.133
P  0.212  0.528  0.472
P  0.472  0.788  0.212
P  0.528  0.212  0.788
P  0.788  0.472  0.528
Ru  0.000  0.000  0.500
Ru  0.250  0.250  0.250
Ru  0.500  0.500  0.000
Ru  0.500  0.500  0.500
Ru  0.750  0.750  0.750

Principal peaks in the range 2θ from 10° to 90°, in order of falling intensity:
| 2theta | I/Imax |
| --- | --- |
| 37.14 | 100 |
| 26.80 | 94 |
| 37.59 | 91 |
| 31.88 | 88 |
| 41.72 | 65 |
| 36.89 | 47 |

=====

Starting from a PBE-relaxed structure, the XRD peak list of Pm2NdMoN4 was computed for Cu Kα, 1.54184 Å.

Structure:
Lattice parameters (Å, degrees): 6.266 6.266 12.216 90.00 90.00 147.57
Sites, in units of the cell vectors:
Pm  0.131  0.869  0.540
Pm  0.131  0.869  0.960
Pm  0.869  0.131  0.040
Pm  0.869  0.131  0.460
Nd  0.406  0.594  0.750
Nd  0.594  0.406  0.250
Mo  0.334  0.666  0.250
Mo  0.666  0.334  0.750
N  0.064  0.936  0.750
N  0.234  0.766  0.129
N  0.234  0.766  0.371
N  0.500  0.500  0.000
N  0.500  0.500  0.500
N  0.766  0.234  0.629
N  0.766  0.234  0.871
N  0.936  0.064  0.250

Principal peaks in the range 2θ from 10° to 90°, in order of falling intensity:
| 2theta | I/Imax |
| --- | --- |
| 30.36 | 100 |
| 37.14 | 75 |
| 29.24 | 44 |
| 29.70 | 43 |
| 26.43 | 39 |
| 34.81 | 32 |

=====

Q: Number 2 is which compound?
A: Th2P4Ru5